Structure and simulated powder diffraction line list of Sr2AlTlCo2O7 (DFT lattice parameters and positions (PBE+U); a wavelength of 1.5418 Å).
No peak broadening, texture or thermal motion is included.

Top 6 peaks for 2θ from 15° to 90°, by angle:
index	2θ/deg	Rel. int.
0 1 -2	28.51	77
1 0 -2	28.65	76
0 1 3	31.35	94
1 0 3	31.48	94
1 1 0	31.61	83
1 -1 0	33.29	100

Structure:
```
data_Sr2AlTlCo2O7
_chemical_formula_sum 'Sr2 Al1 Tl1 Co2 O7'
_symmetry_space_group_name_H-M 'P 1'
_symmetry_Int_Tables_number 1
_cell_length_a 3.9035
_cell_length_b 3.9327
_cell_length_c 11.5997
_cell_angle_alpha 85.42
_cell_angle_beta 85.45
_cell_angle_gamma 86.78
loop_
_symmetry_equiv_pos_as_xyz
'x,y,z'
loop_
_atom_site_label
_atom_site_fract_x
_atom_site_fract_y
_atom_site_fract_z
Sr1 0.0000 0.0000 0.0000
Sr2 0.1237 0.1278 0.5646
Al1 0.0580 0.0552 0.2825
Tl1 0.5724 0.6340 0.7816
Co1 0.4765 0.4726 0.1512
Co2 0.6397 0.6387 0.4135
O1 0.0438 0.9725 0.7814
O2 0.1486 0.6901 0.3896
O3 0.4271 0.9626 0.1758
O4 0.5114 0.4880 0.9696
O5 0.5849 0.5560 0.5956
O6 0.6861 0.1479 0.3880
O7 0.9671 0.4257 0.1773
```